For LiSc7Ga4, the GGA-PBE geometry in Alexandria gives the calculated X-ray powder pattern in this record (copper Kα).
Lines closer than 0.1° are merged.

Principal peaks in the range 2θ = 5–70°, in order of rising 2θ:
4.750 Å, 2θ = 18.7°, I = 27, (2 0 -2)
4.520 Å, 2θ = 19.6°, I = 54, (1 1 0)
3.986 Å, 2θ = 22.3°, I = 20, (0 0 2)
2.861 Å, 2θ = 31.3°, I = 39, (4 0 -3)
2.678 Å, 2θ = 33.5°, I = 33, (3 1 -3)
2.506 Å, 2θ = 35.8°, I = 81, (0 2 0)
2.370 Å, 2θ = 38.0°, I = 36, (2 0 -4)
2.363 Å, 2θ = 38.1°, I = 100, (3 1 1)
2.220 Å, 2θ = 40.6°, I = 78, (5 1 -3)
2.157 Å, 2θ = 41.9°, I = 30, (5 1 -1)
2.018 Å, 2θ = 44.9°, I = 28, (1 1 -4)
1.722 Å, 2θ = 53.2°, I = 26, (2 2 -4)

Structural model:
```
data_LiSc7Ga4
_chemical_formula_sum 'Li2 Sc14 Ga8'
_cell_length_a 12.793
_cell_length_b 5.012
_cell_length_c 9.745
_cell_angle_alpha 90.00
_cell_angle_beta 125.11
_cell_angle_gamma 90.00
_space_group_name_H-M_alt 'C 1 2/m 1'
_space_group_IT_number 12
loop_
_space_group_symop_operation_xyz
'x,y,z'
'-x,-y,-z'
'-x,y,-z'
'x,-y,z'
'x+1/2,y+1/2,z'
'-x+1/2,-y+1/2,-z'
'-x+1/2,y+1/2,-z'
'x+1/2,-y+1/2,z'
loop_
_atom_site_label
_atom_site_type_symbol
_atom_site_fract_x
_atom_site_fract_y
_atom_site_fract_z
Li1 Li 0.000 0.000 0.000
Sc1 Sc 0.000 0.500 0.000
Sc2 Sc 0.062 0.000 0.362
Sc3 Sc 0.180 0.500 0.617
Sc4 Sc 0.218 0.000 0.878
Ga1 Ga 0.063 0.500 0.774
Ga2 Ga 0.191 0.500 0.331
```